No. 1
This entry pairs a crystal structure of Al3Fe3Si with its computed powder XRD pattern. Radiation: copper Kα. Structure: a DFT-relaxed cell (GGA-PBE, Alexandria).

Principal peaks in the range 15 to 90 degrees two-theta, low angle first:
hkl 1 0 1, 22.1 deg, intensity 33; hkl 1 1 0, 22.6 deg, intensity 27; hkl 0 2 1, 31.8 deg, intensity 15; hkl 2 1 1, 39.4 deg, intensity 13; hkl 2 0 2, 45.1 deg, intensity 100; hkl 2 2 0, 46.1 deg, intensity 94; hkl 0 4 2, 66.5 deg, intensity 29; hkl 0 2 4, 82.7 deg, intensity 15; hkl 4 2 2, 84.7 deg, intensity 29; hkl 6 0 0, 85.3 deg, intensity 14

Crystal structure
```
data_Al3Fe3Si
_chemical_formula_sum 'Al9 Fe9 Si3'
_cell_length_a 7.8798
_cell_length_b 7.8798
_cell_length_c 4.9696
_cell_angle_alpha 90.00
_cell_angle_beta 90.00
_cell_angle_gamma 120.00
_symmetry_space_group_name_H-M 'R -3 m'
_symmetry_Int_Tables_number 166
_symmetry_space_group_name_Hall '-R 3 2"'
loop_
_atom_site_label
_atom_site_type_symbol
_atom_site_fract_x
_atom_site_fract_y
_atom_site_fract_z
Al1 Al 0.0000 0.5000 0.0000
Fe1 Fe 0.0000 0.5000 0.5000
Si1 Si 0.0000 0.0000 0.0000
```

=====

No. 2
This entry pairs a crystal structure of Fe2MoCl with its computed powder XRD pattern. Radiation: copper Kα. Structure: a DFT-relaxed cell (GGA-PBE, Alexandria).

Principal peaks in the range 15 to 90 degrees two-theta, low angle first:
hkl 0 1 0, 30.5 deg, intensity 31; hkl 0 1 1, 33.1 deg, intensity 14; hkl 1 0 2, 39.9 deg, intensity 100; hkl 1 1 0, 43.7 deg, intensity 33; hkl 1 1 1, 45.6 deg, intensity 36; hkl 0 1 3, 49.5 deg, intensity 47; hkl 1 1 2, 51.0 deg, intensity 14; hkl 1 2 2, 77.6 deg, intensity 25; hkl 1 1 5, 82.3 deg, intensity 18; hkl 2 1 3, 84.5 deg, intensity 19

Crystal structure
```
data_Fe2MoCl
_chemical_formula_sum 'Fe2 Mo1 Cl1'
_cell_length_a 2.929
_cell_length_b 2.933
_cell_length_c 7.097
_cell_angle_alpha 90.00
_cell_angle_beta 90.00
_cell_angle_gamma 90.00
_symmetry_space_group_name_H-M 'P m m 2'
_symmetry_Int_Tables_number 25
loop_
_symmetry_equiv_pos_as_xyz
'x,y,z'
'-x,-y,z'
'-x,y,z'
'x,-y,z'
loop_
_atom_site_label
_atom_site_type_symbol
_atom_site_fract_x
_atom_site_fract_y
_atom_site_fract_z
Fe1 Fe 0.000 0.000 0.000
Fe2 Fe 0.500 0.500 0.197
Mo1 Mo 0.000 0.000 0.406
Cl1 Cl 0.500 0.000 0.694
```